The following is a computed X-ray powder pattern of Bi2W2O9. It was derived from a cell relaxed with PBE+U, using a wavelength of 1.5418 Å.

Cell: 24.5947 5.4500 5.4785 Å, 90.00 90.00 90.00°
Space group Pbcn (No. 60)
One atom of each set of equivalent atoms:
Bi (0.1974, 0.2280, 0.1317) [8 per cell]
W (0.0766, 0.2514, 0.6941) [8 per cell]
O (0.0000, 0.3131, 0.7500) [4 per cell]
O (0.0657, 0.0351, 0.4392) [8 per cell]
O (0.0884, 0.4695, 0.9993) [8 per cell]
O (0.1520, 0.1776, 0.7234) [8 per cell]
O (0.2492, 0.4916, 0.9052) [8 per cell]

Most intense lines, 10 to 90 degrees two-theta, sorted by position:
2θ (°)  I_rel  hkl
23.30  35  1 1 1
25.49  39  3 1 1
27.26  63  4 1 1
29.04  35  8 0 0
29.40  100  5 1 1
32.88  61  0 2 0
46.99  28  9 0 2
47.19  27  1 2 2
53.96  28  13 1 1
55.10  23  4 1 3